Simulated powder diffractogram
Compound: Gd3CuSnSe7
Radiation: λ = 1.5418 Å (Cu Kα)
Structure: DFT lattice parameters and positions (GGA-PBE)

Cell and atoms:
Cell: 10.3698 10.3698 6.4531 Å, 90.00 90.00 120.00°
Sites, in units of the cell vectors:
1 Gd 0.1484 0.7912 0.0000
2 Gd 0.2088 0.3572 0.0000
3 Gd 0.3572 0.1484 0.5000
4 Gd 0.6428 0.8516 0.0000
5 Gd 0.7912 0.6428 0.5000
6 Gd 0.8516 0.2088 0.5000
7 Cu 0.0000 0.0000 0.0850
8 Cu 0.0000 0.0000 0.5850
9 Sn 0.3333 0.6667 0.4271
10 Sn 0.6667 0.3333 0.9271
11 Se 0.0792 0.5174 0.2483
12 Se 0.1127 0.8506 0.5607
13 Se 0.1494 0.2621 0.5607
14 Se 0.2621 0.1127 0.0607
15 Se 0.3333 0.6667 0.8216
16 Se 0.4382 0.9208 0.2483
17 Se 0.4826 0.5618 0.2483
18 Se 0.5174 0.4382 0.7483
19 Se 0.5618 0.0792 0.7483
20 Se 0.6667 0.3333 0.3216
21 Se 0.7379 0.8873 0.5607
22 Se 0.8506 0.7379 0.0607
23 Se 0.8873 0.1494 0.0607
24 Se 0.9208 0.4826 0.7483

Main lines, by intensity (15° ≤ 2θ ≤ 90°):
h k l, 2θ (°), I/Imax
2 2 0, 34.6, 100
2 0 1, 24.1, 61
2 0 2, 34.2, 59
1 0 2, 29.4, 40
2 1 1, 29.7, 36
3 0 1, 33.0, 31